BaMg2HgF8: simulated powder diffractogram (Cu Kα), based on a crystal structure in Alexandria, relaxed with PBE.
Lines closer than 0.1° are merged.

Unit cell a=5.285 b=6.791 c=5.308 alpha=90.00 beta=90.72 gamma=90.00
Sites, in units of the cell vectors:
Ba: 0.000 0.000 0.000
Mg: 0.500 0.258 0.500
Mg: 0.500 0.742 0.500
Hg: 0.000 0.500 0.000
F: 0.233 0.273 0.238
F: 0.233 0.727 0.238
F: 0.323 0.500 0.680
F: 0.341 0.000 0.663
F: 0.659 0.000 0.337
F: 0.677 0.500 0.320
F: 0.767 0.273 0.762
F: 0.767 0.727 0.762

The 6 most intense peaks (5° ≤ 2θ ≤ 70°), in order of rising 2θ:
- 2θ = 16.7°, intensity 100
- 2θ = 23.6°, intensity 69
- 2θ = 23.9°, intensity 55
- 2θ = 31.3°, intensity 86
- 2θ = 35.8°, intensity 50
- 2θ = 46.6°, intensity 51